Simulated X-ray powder pattern
Compound: Dy6Y2HoEr3
Radiation: Cu Kα X-rays
Structure: a structure optimized by DFT (GGA-PBE)
No peak broadening, texture or thermal motion is included.

Crystal structure
```
Dy6Y2HoEr3
1.0
3.064 -5.301 0.000
3.064 5.301 0.000
-2.032 0.000 11.538
Dy Y Ho Er
6 2 1 3
Direct
0.084 0.417 0.752
0.248 0.248 0.248
0.417 0.084 0.752
0.583 0.916 0.248
0.752 0.752 0.752
0.916 0.583 0.248
0.333 0.667 0.500
0.667 0.333 0.500
0.000 0.000 0.500
0.167 0.833 0.000
0.500 0.500 0.000
0.833 0.167 0.000
```

Main lines, by angle (2θ = 10–90°):
- 30.98 deg, d = 2.886 Å, I 100
- 35.93 deg, d = 2.500 Å, I 51
- 51.72 deg, d = 1.768 Å, I 36
- 61.51 deg, d = 1.508 Å, I 35
- 61.57 deg, d = 1.506 Å, I 7
- 64.58 deg, d = 1.443 Å, I 12
- 84.45 deg, d = 1.147 Å, I 13
- 84.52 deg, d = 1.146 Å, I 4
- 87.15 deg, d = 1.118 Å, I 8
- 87.25 deg, d = 1.117 Å, I 8



Simulated X-ray powder pattern
Compound: DyErI6
Radiation: Cu Kα X-rays
Structure: a structure optimized by DFT (GGA-PBE)
No peak broadening, texture or thermal motion is included.

Crystal structure
```
DyErI6
1.0
3.798 2.193 6.845
-3.798 2.193 6.845
0.000 -4.386 6.845
Dy Er I
1 1 6
Direct
0.000 0.000 0.000
0.500 0.500 0.500
0.092 0.749 0.410
0.251 0.590 0.908
0.410 0.092 0.749
0.590 0.908 0.251
0.749 0.410 0.092
0.908 0.251 0.590
```

Main lines, by angle (2θ = 10–90°):
- 16.00 deg, d = 5.539 Å, I 48
- 21.96 deg, d = 4.047 Å, I 18
- 26.84 deg, d = 3.321 Å, I 100
- 35.30 deg, d = 2.543 Å, I 56
- 41.16 deg, d = 2.193 Å, I 43
- 46.43 deg, d = 1.956 Å, I 22
- 49.83 deg, d = 1.830 Å, I 18
- 55.32 deg, d = 1.661 Å, I 15
- 66.55 deg, d = 1.405 Å, I 14
- 69.70 deg, d = 1.349 Å, I 18



Simulated X-ray powder pattern
Compound: DyEr3In4
Radiation: Cu Kα X-rays
Structure: a structure optimized by DFT (GGA-PBE)
No peak broadening, texture or thermal motion is included.

Crystal structure
```
DyEr3In4
1.0
10.704 0.000 0.000
0.000 7.151 0.000
0.000 0.000 5.454
Dy Er In
2 6 8
Direct
0.000 0.000 0.000
0.500 0.000 0.000
0.000 0.500 0.000
0.250 0.000 0.426
0.250 0.500 0.423
0.500 0.500 0.000
0.750 0.000 0.574
0.750 0.500 0.577
0.000 0.252 0.500
0.000 0.748 0.500
0.250 0.252 0.916
0.250 0.748 0.916
0.500 0.252 0.500
0.500 0.748 0.500
0.750 0.252 0.084
0.750 0.748 0.084
```

Main lines, by angle (2θ = 10–90°):
- 31.05 deg, d = 2.880 Å, I 8
- 32.85 deg, d = 2.727 Å, I 19
- 33.49 deg, d = 2.676 Å, I 30
- 33.93 deg, d = 2.642 Å, I 10
- 34.35 deg, d = 2.610 Å, I 100
- 47.61 deg, d = 1.910 Å, I 13
- 51.09 deg, d = 1.788 Å, I 9
- 60.42 deg, d = 1.532 Å, I 19
- 62.48 deg, d = 1.487 Å, I 10
- 85.31 deg, d = 1.138 Å, I 8



Simulated X-ray powder pattern
Compound: Dy2Er2In7
Radiation: Cu Kα X-rays
Structure: a structure optimized by DFT (GGA-PBE)
No peak broadening, texture or thermal motion is included.

Crystal structure
```
Dy2Er2In7
1.0
4.268 -5.345 0.000
4.268 5.345 0.000
0.000 0.000 7.413
Dy Er In
2 2 7
Direct
0.185 0.185 0.000
0.815 0.815 0.000
0.299 0.701 0.500
0.701 0.299 0.500
0.000 0.000 0.500
0.000 0.500 0.205
0.000 0.500 0.795
0.500 0.000 0.205
0.500 0.000 0.795
0.500 0.500 0.202
0.500 0.500 0.798
```

Main lines, by angle (2θ = 10–90°):
- 20.48 deg, d = 4.336 Å, I 39
- 24.06 deg, d = 3.699 Å, I 85
- 27.53 deg, d = 3.240 Å, I 26
- 33.53 deg, d = 2.673 Å, I 52
- 36.23 deg, d = 2.479 Å, I 100
- 36.53 deg, d = 2.460 Å, I 52
- 42.33 deg, d = 2.135 Å, I 31
- 42.44 deg, d = 2.130 Å, I 40
- 45.71 deg, d = 1.985 Å, I 25
- 57.03 deg, d = 1.615 Å, I 20



Simulated X-ray powder pattern
Compound: Dy5Er3In2
Radiation: Cu Kα X-rays
Structure: a structure optimized by DFT (GGA-PBE)
No peak broadening, texture or thermal motion is included.

Crystal structure
```
Dy5Er3In2
1.0
-6.354 7.800 3.148
6.354 -7.800 3.148
6.354 7.800 -3.148
Dy Er In
10 6 4
Direct
0.164 0.128 0.293
0.250 0.250 0.000
0.250 0.501 0.251
0.250 0.999 0.749
0.336 0.628 0.964
0.664 0.372 0.036
0.750 0.001 0.251
0.750 0.499 0.749
0.750 0.750 0.000
0.836 0.872 0.707
0.229 0.393 0.622
0.250 0.750 0.500
0.271 0.893 0.164
0.729 0.107 0.836
0.750 0.250 0.500
0.771 0.607 0.378
0.146 0.634 0.780
0.354 0.134 0.487
0.646 0.866 0.513
0.854 0.366 0.220
```

Main lines, by angle (2θ = 10–90°):
- 22.80 deg, d = 3.900 Å, I 23
- 26.28 deg, d = 3.391 Å, I 34
- 30.38 deg, d = 2.942 Å, I 96
- 30.62 deg, d = 2.920 Å, I 100
- 34.49 deg, d = 2.600 Å, I 21
- 35.07 deg, d = 2.559 Å, I 61
- 36.48 deg, d = 2.463 Å, I 26
- 36.68 deg, d = 2.450 Å, I 24
- 40.33 deg, d = 2.236 Å, I 76
- 54.09 deg, d = 1.695 Å, I 26



Simulated X-ray powder pattern
Compound: Dy4Er4In
Radiation: Cu Kα X-rays
Structure: a structure optimized by DFT (GGA-PBE)
No peak broadening, texture or thermal motion is included.

Crystal structure
```
Dy4Er4In
1.0
-5.259 5.259 2.435
5.259 -5.259 2.435
5.259 5.259 -2.435
Dy Er In
4 4 1
Direct
0.162 0.162 0.324
0.162 0.838 0.000
0.838 0.162 0.000
0.838 0.838 0.676
0.165 0.500 0.665
0.500 0.165 0.665
0.500 0.835 0.335
0.835 0.500 0.335
0.500 0.500 0.000
```

Main lines, by angle (2θ = 10–90°):
- 31.44 deg, d = 2.846 Å, I 100
- 36.23 deg, d = 2.479 Å, I 34
- 36.91 deg, d = 2.435 Å, I 16
- 52.18 deg, d = 1.753 Å, I 12
- 52.68 deg, d = 1.737 Å, I 23
- 62.20 deg, d = 1.493 Å, I 28
- 63.10 deg, d = 1.473 Å, I 14
- 65.62 deg, d = 1.423 Å, I 12
- 85.43 deg, d = 1.136 Å, I 6
- 86.24 deg, d = 1.128 Å, I 12